Structure and computed PXRD pattern of Rb2HfVO6 (a DFT-relaxed cell (GGA+U, Alexandria); CuKα).

Cell and atoms:
```
Rb2HfVO6
1.0
6.401 0.000 0.000
-3.201 5.543 0.000
0.000 0.000 5.400
Rb Hf V O
2 1 1 6
direct
0.333 0.667 0.145
0.667 0.333 0.855
0.000 0.000 0.500
0.000 0.000 0.000
0.133 0.267 0.775
0.133 0.867 0.775
0.267 0.133 0.225
0.733 0.867 0.775
0.867 0.133 0.225
0.867 0.733 0.225
```

Top 6 peaks for 10° ≤ 2θ ≤ 80°, by angle:
index  2θ (°)  d (Å)  I (rel.)
1 0 0  15.99  5.543  91
1 0 1  22.99  3.868  88
1 1 0  27.88  3.201  100
0 2 1  36.44  2.466  48
0 1 2  37.04  2.427  41
1 2 2  55.52  1.655  36